Starting from a structure optimized by DFT (GGA-PBE), the powder diffractogram of PrHoHgTe2 was simulated for λ = 1.5418 Å (Cu Kα).
Lines closer than 0.1° are merged.

Main lines, in order of rising 2θ (15° ≤ 2θ ≤ 90°):
(1 1 0), 28.8°, I 576; (0 0 5), 28.9°, I 960; (1 1 1), 29.4°, I 970; (1 1 2), 31.1°, I 620; (1 1 3), 33.7°, I 743; (1 0 5), 35.5°, I 420; (1 1 4), 37.2°, I 787; (2 0 0), 41.1°, I 1000; (2 0 5), 51.1°, I 798; (2 2 5), 67.6°, I 441

Atomic structure:
```
data_PrHoHgTe2
_chemical_formula_sum 'Pr2 Ho2 Hg2 Te4'
_symmetry_space_group_name_H-M 'P 4/n m m'
_symmetry_Int_Tables_number 129
_cell_length_a 4.3880
_cell_length_b 4.3880
_cell_length_c 15.4403
_cell_angle_alpha 90.00
_cell_angle_beta 90.00
_cell_angle_gamma 90.00
loop_
_symmetry_equiv_pos_as_xyz
'x,y,z'
'-x,-y,-z'
'-y+1/2,x,z'
'y+1/2,-x,-z'
'-x+1/2,-y+1/2,z'
'x+1/2,y+1/2,-z'
'y,-x+1/2,z'
'-y,x+1/2,-z'
'x+1/2,-y,-z'
'-x+1/2,y,z'
'-y,-x,-z'
'y,x,z'
'-x,y+1/2,-z'
'x,-y+1/2,z'
'y+1/2,x+1/2,-z'
'-y+1/2,-x+1/2,z'
loop_
_atom_site_label
_atom_site_fract_x
_atom_site_fract_y
_atom_site_fract_z
_atom_site_occupancy
Pr1 0.2500 0.2500 0.1668 1
Ho1 0.2500 0.2500 0.5865 1
Hg1 0.2500 0.7500 0.0000 1
Te1 0.2500 0.2500 0.3875 1
Te2 0.2500 0.2500 0.7880 1
```

---

Starting from a structure optimized by DFT (GGA-PBE), the powder diffractogram of Ca3Sn5 was simulated for λ = 1.5418 Å (Cu Kα).
Lines closer than 0.1° are merged.

Main lines, in order of rising 2θ (15° ≤ 2θ ≤ 90°):
(1 1 1), 16.0°, I 217; (1 1 3), 28.8°, I 154; (2 2 2), 32.4°, I 1000; (3 1 2), 32.8°, I 222; (1 3 0), 33.5°, I 268; (0 0 4), 33.9°, I 265; (4 0 0), 34.7°, I 245; (2 2 3), 37.7°, I 192; (3 1 3), 38.1°, I 273; (3 5 2), 64.7°, I 149

Atomic structure:
```
data_Ca3Sn5
_chemical_formula_sum 'Ca12 Sn20'
_symmetry_space_group_name_H-M 'C m c m'
_symmetry_Int_Tables_number 63
_symmetry_space_group_name_Hall '-C 2c 2'
_cell_length_a 10.3360
_cell_length_b 8.3070
_cell_length_c 10.5865
_cell_angle_alpha 90.00
_cell_angle_beta 90.00
_cell_angle_gamma 90.00
loop_
_atom_site_label
_atom_site_fract_x
_atom_site_fract_y
_atom_site_fract_z
_atom_site_occupancy
Ca1 0.0000 0.1276 0.2500 1
Ca2 0.2065 0.5000 0.0000 1
Sn1 0.0000 0.1947 0.5467 1
Sn2 0.0000 0.4776 0.7500 1
Sn3 0.2112 0.2149 0.7500 1
```

---

Starting from a structure optimized by DFT (GGA-PBE), the powder diffractogram of Cd3H2CSeO8 was simulated for λ = 1.5418 Å (Cu Kα).
Lines closer than 0.1° are merged.

Main lines, in order of rising 2θ (15° ≤ 2θ ≤ 90°):
(1 0 1), 15.7°, I 507; (1 2 1), 23.0°, I 378; (0 2 2), 23.7°, I 412; (0 3 1), 26.5°, I 715; (2 1 1), 29.3°, I 447; (1 1 3), 29.8°, I 549; (2 2 0), 31.6°, I 1000; (1 2 3), 33.2°, I 742; (0 4 0), 33.7°, I 364; (2 5 1), 51.7°, I 384

Atomic structure:
```
data_Cd3H2CSeO8
_chemical_formula_sum 'Cd12 H8 C4 Se4 O32'
_symmetry_space_group_name_H-M 'P n m a'
_symmetry_Int_Tables_number 62
_cell_length_a 6.6790
_cell_length_b 10.6313
_cell_length_c 10.6138
_cell_angle_alpha 90.00
_cell_angle_beta 90.00
_cell_angle_gamma 90.00
loop_
_symmetry_equiv_pos_as_xyz
'x,y,z'
'-x,-y,-z'
'-x+1/2,-y,z+1/2'
'x+1/2,y,-z+1/2'
'x+1/2,-y+1/2,-z+1/2'
'-x+1/2,y+1/2,z+1/2'
'-x,y+1/2,-z'
'x,-y+1/2,z'
loop_
_atom_site_label
_atom_site_fract_x
_atom_site_fract_y
_atom_site_fract_z
_atom_site_occupancy
Cd1 0.0313 0.0465 0.1665 1
Cd2 0.2493 0.7500 0.3748 1
H1 0.1425 0.5068 0.4017 1
C1 0.1232 0.7500 0.6460 1
Se1 0.2458 0.7500 0.0264 1
O1 0.0460 0.7500 0.7592 1
O2 0.0709 0.6289 0.0397 1
O3 0.1229 0.2500 0.6651 1
O4 0.1596 0.6442 0.5893 1
O5 0.2110 0.5358 0.3258 1
```

---

Starting from a structure optimized by DFT (GGA-PBE), the powder diffractogram of AcHo3Zn4 was simulated for λ = 1.5418 Å (Cu Kα).
Lines closer than 0.1° are merged.

Main lines, in order of rising 2θ (15° ≤ 2θ ≤ 90°):
(0 0 2), 24.3°, I 121; (1 1 0), 24.5°, I 222; (1 1 2), 34.8°, I 1000; (2 0 0), 34.9°, I 507; (2 0 2), 43.0°, I 111; (2 2 0), 50.2°, I 181; (2 0 4), 62.2°, I 170; (3 1 2), 62.5°, I 362; (2 2 4), 73.4°, I 104; (4 2 0), 84.2°, I 159

Atomic structure:
```
data_AcHo3Zn4
_chemical_formula_sum 'Ac1 Ho3 Zn4'
_symmetry_space_group_name_H-M 'P 4/m m m'
_symmetry_Int_Tables_number 123
_symmetry_space_group_name_Hall '-P 4 2'
_cell_length_a 5.1382
_cell_length_b 5.1382
_cell_length_c 7.3328
_cell_angle_alpha 90.00
_cell_angle_beta 90.00
_cell_angle_gamma 90.00
loop_
_atom_site_label
_atom_site_fract_x
_atom_site_fract_y
_atom_site_fract_z
_atom_site_occupancy
Ac1 0.0000 0.0000 0.0000 1
Ho1 0.0000 0.0000 0.5000 1
Ho2 0.5000 0.5000 0.0000 1
Ho3 0.5000 0.5000 0.5000 1
Zn1 0.0000 0.5000 0.2741 1
```

---

Starting from a structure optimized by DFT (GGA-PBE), the powder diffractogram of ErMg3Zn8 was simulated for λ = 1.5418 Å (Cu Kα).
Lines closer than 0.1° are merged.

Main lines, in order of rising 2θ (15° ≤ 2θ ≤ 90°):
(1 0 0), 19.6°, I 309; (1 0 1), 22.1°, I 434; (0 1 3), 36.7°, I 660; (1 1 2), 40.2°, I 1000; (2 0 1), 41.2°, I 936; (0 0 4), 41.3°, I 247; (0 2 2), 45.1°, I 282; (0 2 5), 67.7°, I 298; (2 2 0), 72.2°, I 247; (2 2 4), 86.7°, I 257

Atomic structure:
```
data_ErMg3Zn8
_chemical_formula_sum 'Er1 Mg3 Zn8'
_symmetry_space_group_name_H-M 'P 3 m 1'
_symmetry_Int_Tables_number 156
_cell_length_a 5.2321
_cell_length_b 5.2321
_cell_length_c 8.7420
_cell_angle_alpha 90.00
_cell_angle_beta 90.00
_cell_angle_gamma 120.00
loop_
_symmetry_equiv_pos_as_xyz
'x,y,z'
'-y,x-y,z'
'-x+y,-x,z'
'-y,-x,z'
'-x+y,y,z'
'x,x-y,z'
loop_
_atom_site_label
_atom_site_fract_x
_atom_site_fract_y
_atom_site_fract_z
_atom_site_occupancy
Er1 0.0000 0.0000 0.0000 1
Mg1 0.0000 0.0000 0.3746 1
Mg2 0.6667 0.3333 0.4988 1
Mg3 0.6667 0.3333 0.8668 1
Zn1 0.1634 0.3268 0.6856 1
Zn2 0.3333 0.6667 0.4444 1
Zn3 0.3333 0.6667 0.9407 1
Zn4 0.5026 0.0051 0.1949 1
```

---

Starting from a structure optimized by DFT (GGA-PBE), the powder diffractogram of Pm4Dy4Tl was simulated for λ = 1.5418 Å (Cu Kα).
Lines closer than 0.1° are merged.

Main lines, in order of rising 2θ (15° ≤ 2θ ≤ 90°):
(3 0 1), 30.8°, I 1000; (3 3 0), 35.5°, I 343; (0 0 2), 36.3°, I 163; (6 0 0), 51.0°, I 121; (3 3 2), 51.6°, I 237; (6 3 1), 60.8°, I 285; (3 0 3), 61.9°, I 138; (6 0 2), 64.2°, I 122; (9 0 1), 83.3°, I 58; (6 3 3), 84.3°, I 116

Atomic structure:
```
data_Pm4Dy4Tl
_chemical_formula_sum 'Pm8 Dy8 Tl2'
_symmetry_space_group_name_H-M 'I 4/m m m'
_symmetry_Int_Tables_number 139
_symmetry_space_group_name_Hall '-I 4 2'
_cell_length_a 10.7360
_cell_length_b 10.7360
_cell_length_c 4.9541
_cell_angle_alpha 90.00
_cell_angle_beta 90.00
_cell_angle_gamma 90.00
loop_
_atom_site_label
_atom_site_fract_x
_atom_site_fract_y
_atom_site_fract_z
_atom_site_occupancy
Pm1 0.0000 0.3338 0.0000 1
Dy1 0.1612 0.1612 0.5000 1
Tl1 0.0000 0.0000 0.0000 1
```